(1)
Starting from a structure optimized by DFT (GGA-PBE), the PXRD pattern of Zr3BeSn2 was computed for Cu Kα (λ = 1.5418 Å).

Structure:
```
data_Zr3BeSn2
_chemical_formula_sum 'Zr12 Be4 Sn8'
_symmetry_space_group_name_H-M 'P n m a'
_symmetry_Int_Tables_number 62
_cell_length_a 11.5065
_cell_length_b 3.9496
_cell_length_c 10.9808
_cell_angle_alpha 90.00
_cell_angle_beta 90.00
_cell_angle_gamma 90.00
loop_
_symmetry_equiv_pos_as_xyz
'x,y,z'
'-x,-y,-z'
'-x+1/2,-y,z+1/2'
'x+1/2,y,-z+1/2'
'x+1/2,-y+1/2,-z+1/2'
'-x+1/2,y+1/2,z+1/2'
'-x,y+1/2,-z'
'x,-y+1/2,z'
loop_
_atom_site_label
_atom_site_type_symbol
_atom_site_fract_x
_atom_site_fract_y
_atom_site_fract_z
Zr1 Zr 0.0508 0.2500 0.1160
Zr2 Zr 0.1178 0.7500 0.5547
Zr3 Zr 0.2295 0.2500 0.7751
Be1 Be 0.1254 0.2500 0.3687
Sn1 Sn 0.0140 0.7500 0.3062
Sn2 Sn 0.1945 0.7500 0.9882
```

Main lines, in order of rising 2θ (10 to 90 degrees two-theta):
28.91°, intensity 41
31.96°, intensity 46
33.38°, intensity 100
33.57°, intensity 69
34.30°, intensity 36
35.22°, intensity 35
36.53°, intensity 39
39.62°, intensity 47
42.21°, intensity 36
45.96°, intensity 53

(2)
Starting from a structure optimized by DFT (GGA-PBE), the PXRD pattern of Tb2CeNd3S6 was computed for Cu Kα (λ = 1.5418 Å).

Structure:
```
data_Tb2CeNd3S6
_chemical_formula_sum 'Tb4 Ce2 Nd6 S12'
_symmetry_space_group_name_H-M 'C 1 2/m 1'
_symmetry_Int_Tables_number 12
_cell_length_a 6.9343
_cell_length_b 12.0399
_cell_length_c 6.9716
_cell_angle_alpha 90.00
_cell_angle_beta 109.49
_cell_angle_gamma 90.00
loop_
_symmetry_equiv_pos_as_xyz
'x,y,z'
'-x,-y,-z'
'-x,y,-z'
'x,-y,z'
'x+1/2,y+1/2,z'
'-x+1/2,-y+1/2,-z'
'-x+1/2,y+1/2,-z'
'x+1/2,-y+1/2,z'
loop_
_atom_site_label
_atom_site_type_symbol
_atom_site_fract_x
_atom_site_fract_y
_atom_site_fract_z
Tb1 Tb 0.0000 0.1671 0.0000
Ce1 Ce 0.0000 0.5000 0.0000
Nd1 Nd 0.0000 0.0000 0.5000
Nd2 Nd 0.0000 0.3334 0.5000
S1 S 0.2421 0.0000 0.2394
S2 S 0.2488 0.3313 0.2399
```

Main lines, in order of rising 2θ (10 to 90 degrees two-theta):
27.19°, intensity 57
27.29°, intensity 19
31.52°, intensity 100
45.08°, intensity 24
45.23°, intensity 48
53.50°, intensity 19
53.62°, intensity 16
56.13°, intensity 13
65.81°, intensity 12
74.65°, intensity 11

(3)
Starting from a structure optimized by DFT (GGA-PBE), the PXRD pattern of HoBi2O6 was computed for Cu Kα (λ = 1.5418 Å).

Structure:
```
data_HoBi2O6
_chemical_formula_sum 'Ho2 Bi4 O12'
_symmetry_space_group_name_H-M 'P m n 21'
_symmetry_Int_Tables_number 31
_cell_length_a 8.2507
_cell_length_b 6.0761
_cell_length_c 5.6462
_cell_angle_alpha 90.00
_cell_angle_beta 90.00
_cell_angle_gamma 90.00
loop_
_symmetry_equiv_pos_as_xyz
'x,y,z'
'-x+1/2,-y,z+1/2'
'-x,y,z'
'x+1/2,-y,z+1/2'
loop_
_atom_site_label
_atom_site_type_symbol
_atom_site_fract_x
_atom_site_fract_y
_atom_site_fract_z
Ho1 Ho 0.0000 0.1682 0.0000
Bi1 Bi 0.2476 0.7336 0.9744
O1 O 0.0000 0.2774 0.6210
O2 O 0.0000 0.8092 0.8735
O3 O 0.1808 0.4251 0.1402
O4 O 0.1903 0.9885 0.2374
```

Main lines, in order of rising 2θ (10 to 90 degrees two-theta):
18.13°, intensity 13
19.05°, intensity 19
21.50°, intensity 51
29.40°, intensity 22
30.61°, intensity 100
31.69°, intensity 23
43.77°, intensity 19
49.32°, intensity 21
52.91°, intensity 13
55.78°, intensity 23

(4)
Starting from a structure optimized by DFT (GGA-PBE), the PXRD pattern of CsIn3Ga was computed for Cu Kα (λ = 1.5418 Å).

Structure:
```
data_CsIn3Ga
_chemical_formula_sum 'Cs2 In6 Ga2'
_symmetry_space_group_name_H-M 'P 63/m m c'
_symmetry_Int_Tables_number 194
_symmetry_space_group_name_Hall '-P 6c 2c'
_cell_length_a 7.7057
_cell_length_b 7.7057
_cell_length_c 6.4282
_cell_angle_alpha 90.00
_cell_angle_beta 90.00
_cell_angle_gamma 120.00
loop_
_atom_site_label
_atom_site_type_symbol
_atom_site_fract_x
_atom_site_fract_y
_atom_site_fract_z
Cs1 Cs 0.3333 0.6667 0.2500
In1 In 0.1814 0.3628 0.7500
Ga1 Ga 0.0000 0.0000 0.0000
```

Main lines, in order of rising 2θ (10 to 90 degrees two-theta):
26.72°, intensity 11
27.76°, intensity 21
30.18°, intensity 100
38.91°, intensity 29
47.18°, intensity 23
50.63°, intensity 23
55.62°, intensity 14
57.03°, intensity 14
77.06°, intensity 9
77.32°, intensity 11

(5)
Starting from a structure optimized by DFT (GGA-PBE), the PXRD pattern of K4MnBr6 was computed for Cu Kα (λ = 1.5418 Å).

Structure:
```
data_K4MnBr6
_chemical_formula_sum 'K8 Mn2 Br12'
_symmetry_space_group_name_H-M 'P 4/m n c'
_symmetry_Int_Tables_number 128
_symmetry_space_group_name_Hall '-P 4 2n'
_cell_length_a 9.0232
_cell_length_b 9.0232
_cell_length_c 9.3057
_cell_angle_alpha 90.00
_cell_angle_beta 90.00
_cell_angle_gamma 90.00
loop_
_atom_site_label
_atom_site_type_symbol
_atom_site_fract_x
_atom_site_fract_y
_atom_site_fract_z
K1 K 0.1719 0.3281 0.2500
Mn1 Mn 0.0000 0.0000 0.0000
Br1 Br 0.0000 0.0000 0.2822
Br2 Br 0.0934 0.7030 0.0000
```

Main lines, in order of rising 2θ (10 to 90 degrees two-theta):
13.67°, intensity 40
24.04°, intensity 19
29.30°, intensity 100
30.47°, intensity 26
31.34°, intensity 77
32.83°, intensity 33
34.08°, intensity 21
38.70°, intensity 25
44.93°, intensity 23
50.62°, intensity 32

(6)
Starting from a structure optimized by DFT (GGA-PBE), the PXRD pattern of Ba3ZnGa2 was computed for Cu Kα (λ = 1.5418 Å).

Structure:
```
data_Ba3ZnGa2
_chemical_formula_sum 'Ba12 Zn4 Ga8'
_symmetry_space_group_name_H-M 'P 1 21/c 1'
_symmetry_Int_Tables_number 14
_cell_length_a 6.9946
_cell_length_b 10.7175
_cell_length_c 11.8520
_cell_angle_alpha 90.00
_cell_angle_beta 108.34
_cell_angle_gamma 90.00
loop_
_symmetry_equiv_pos_as_xyz
'x,y,z'
'-x,-y,-z'
'-x,y+1/2,-z+1/2'
'x,-y+1/2,z+1/2'
loop_
_atom_site_label
_atom_site_type_symbol
_atom_site_fract_x
_atom_site_fract_y
_atom_site_fract_z
Ba1 Ba 0.1888 0.1328 0.4453
Ba2 Ba 0.2265 0.7245 0.8663
Ba3 Ba 0.2810 0.5055 0.6016
Zn1 Zn 0.3676 0.2226 0.7502
Ga1 Ga 0.1766 0.0354 0.7898
Ga2 Ga 0.3622 0.6009 0.1552
```

Main lines, in order of rising 2θ (10 to 90 degrees two-theta):
24.74°, intensity 43
26.17°, intensity 81
26.54°, intensity 42
26.86°, intensity 85
29.07°, intensity 100
29.62°, intensity 56
31.51°, intensity 58
31.99°, intensity 64
35.94°, intensity 70
51.84°, intensity 52